AcPr2YSe6: theoretical XRD peak list (copper Kα), based on DFT lattice parameters and positions (PBE).

Peak list (8 most intense, 10 to 90 degrees two-theta, most intense first)
| two_theta | d_spacing | I/Imax |
| --- | --- | --- |
| 35.94 | 2.499 | 100 |
| 27.13 | 3.287 | 82 |
| 41.39 | 2.182 | 76 |
| 22.39 | 3.971 | 75 |
| 32.71 | 2.738 | 55 |
| 40.70 | 2.217 | 52 |
| 23.54 | 3.779 | 47 |
| 16.19 | 5.475 | 44 |

Cell and atoms:
```
AcPr2YSe6
1.0
3.7787 2.1816 6.6618
-3.7787 2.1816 6.6618
0.0000 -4.3632 6.6618
Ac Pr Y Se
1 2 1 6
direct
0.0000 0.0000 0.0000
0.2877 0.2877 0.2877
0.7945 0.7945 0.7945
0.4904 0.4904 0.4904
0.0966 0.6718 0.4127
0.2079 0.5925 0.8776
0.4127 0.0966 0.6718
0.5925 0.8776 0.2079
0.6718 0.4127 0.0966
0.8776 0.2079 0.5925
```

Ac3PrSi4: theoretical XRD peak list (copper Kα), based on DFT lattice parameters and positions (PBE).

Peak list (8 most intense, 10 to 90 degrees two-theta, most intense first)
| two_theta | d_spacing | I/Imax |
| --- | --- | --- |
| 26.21 | 3.400 | 100 |
| 20.72 | 4.286 | 32 |
| 27.27 | 3.271 | 25 |
| 64.63 | 1.442 | 22 |
| 49.38 | 1.845 | 20 |
| 47.55 | 1.912 | 20 |
| 32.99 | 2.715 | 19 |
| 40.05 | 2.252 | 15 |

Cell and atoms:
```
Ac3PrSi4
1.0
-2.2514 3.2706 8.5100
2.2514 -3.2706 8.5100
2.2514 3.2706 -8.5100
Ac Pr Si
3 1 4
direct
0.0000 0.0000 0.0000
0.3063 0.8063 0.5000
0.6937 0.1937 0.5000
0.5000 0.5000 0.0000
0.0515 0.3720 0.6795
0.3076 0.6280 0.6795
0.6924 0.3720 0.3205
0.9485 0.6280 0.3205
```

Ac3Pr3Si4: theoretical XRD peak list (copper Kα), based on DFT lattice parameters and positions (PBE).

Peak list (8 most intense, 10 to 90 degrees two-theta, most intense first)
| two_theta | d_spacing | I/Imax |
| --- | --- | --- |
| 29.59 | 3.019 | 100 |
| 31.54 | 2.836 | 57 |
| 31.83 | 2.811 | 49 |
| 25.07 | 3.553 | 48 |
| 24.77 | 3.594 | 43 |
| 39.07 | 2.305 | 27 |
| 51.34 | 1.780 | 23 |
| 35.74 | 2.513 | 23 |

Cell and atoms:
```
Ac3Pr3Si4
1.0
4.6106 0.0000 0.0000
0.0000 5.6983 5.5986
0.0000 -5.6983 5.5986
Ac Pr Si
3 3 4
direct
0.0000 0.0000 0.0000
0.0000 0.1447 0.5023
0.0000 0.5023 0.1447
0.0000 0.6446 0.6446
0.5000 0.3256 0.8203
0.5000 0.8203 0.3256
0.5000 0.2167 0.2167
0.5000 0.4376 0.4376
0.5000 0.7084 0.9231
0.5000 0.9231 0.7084
```

AcPr3Si4: theoretical XRD peak list (copper Kα), based on DFT lattice parameters and positions (PBE).

Peak list (8 most intense, 10 to 90 degrees two-theta, most intense first)
| two_theta | d_spacing | I/Imax |
| --- | --- | --- |
| 27.64 | 3.227 | 100 |
| 26.85 | 3.320 | 26 |
| 33.54 | 2.672 | 23 |
| 47.91 | 1.899 | 21 |
| 34.68 | 2.587 | 18 |
| 51.39 | 1.778 | 18 |
| 38.45 | 2.341 | 18 |
| 30.24 | 2.956 | 17 |

Cell and atoms:
```
AcPr3Si4
1.0
-2.0646 3.3203 8.2517
2.0646 -3.3203 8.2517
2.0646 3.3203 -8.2517
Ac Pr Si
1 3 4
direct
0.0000 0.0000 0.0000
0.1945 0.6945 0.5000
0.5000 0.5000 0.0000
0.8055 0.3055 0.5000
0.1900 0.8656 0.3244
0.4588 0.1344 0.3244
0.5412 0.8656 0.6756
0.8100 0.1344 0.6756
```

Ac2Pr7Sm2: theoretical XRD peak list (copper Kα), based on DFT lattice parameters and positions (PBE).

Peak list (8 most intense, 10 to 90 degrees two-theta, most intense first)
| two_theta | d_spacing | I/Imax |
| --- | --- | --- |
| 30.73 | 2.909 | 100 |
| 29.48 | 3.030 | 98 |
| 28.86 | 3.094 | 91 |
| 33.45 | 2.679 | 85 |
| 26.47 | 3.367 | 59 |
| 29.70 | 3.008 | 50 |
| 20.72 | 4.288 | 43 |
| 40.43 | 2.231 | 34 |

Cell and atoms:
```
Ac2Pr7Sm2
1.0
4.8930 -4.8769 0.0000
4.8930 4.8769 0.0000
-3.2648 0.0000 8.9993
Ac Pr Sm
2 7 2
direct
0.1285 0.1285 0.4038
0.8715 0.8715 0.5962
0.1682 0.5640 0.2305
0.3301 0.3301 0.8663
0.4360 0.8318 0.7695
0.5000 0.5000 0.5000
0.5640 0.1682 0.2305
0.6699 0.6699 0.1337
0.8318 0.4360 0.7695
0.1581 0.8419 0.0000
0.8419 0.1581 0.0000
```

AcPr3Sm2: theoretical XRD peak list (copper Kα), based on DFT lattice parameters and positions (PBE).

Peak list (8 most intense, 10 to 90 degrees two-theta, most intense first)
| two_theta | d_spacing | I/Imax |
| --- | --- | --- |
| 30.14 | 2.965 | 100 |
| 30.32 | 2.948 | 69 |
| 30.45 | 2.936 | 34 |
| 59.66 | 1.550 | 30 |
| 43.27 | 2.091 | 25 |
| 53.94 | 1.700 | 20 |
| 53.72 | 1.706 | 20 |
| 53.82 | 1.703 | 14 |

Cell and atoms:
```
AcPr3Sm2
1.0
5.8897 -3.6456 0.0000
5.8897 3.6456 0.0000
-5.8301 0.0000 10.1926
Ac Pr Sm
2 6 4
direct
0.0019 0.9981 0.7500
0.9981 0.0019 0.2500
0.0870 0.5811 0.9170
0.4189 0.9130 0.5830
0.4989 0.5011 0.7500
0.5011 0.4989 0.2500
0.5811 0.0870 0.4170
0.9130 0.4189 0.0830
0.0845 0.5814 0.4171
0.4186 0.9155 0.0829
0.5814 0.0845 0.9171
0.9155 0.4186 0.5829
```

AcPr3Sm6: theoretical XRD peak list (copper Kα), based on DFT lattice parameters and positions (PBE).

Peak list (8 most intense, 10 to 90 degrees two-theta, most intense first)
| two_theta | d_spacing | I/Imax |
| --- | --- | --- |
| 30.64 | 2.918 | 100 |
| 31.16 | 2.870 | 90 |
| 28.81 | 3.099 | 89 |
| 29.41 | 3.037 | 88 |
| 27.25 | 3.272 | 64 |
| 31.36 | 2.853 | 61 |
| 29.04 | 3.075 | 50 |
| 33.96 | 2.640 | 33 |

Cell and atoms:
```
AcPr3Sm6
1.0
4.9268 -7.8706 0.0000
4.9268 7.8706 0.0000
0.0000 0.0000 9.2477
Ac Pr Sm
2 6 12
direct
0.2184 0.7816 0.5000
0.7816 0.2184 0.0000
0.0461 0.9539 0.7472
0.1990 0.3270 0.9219
0.3270 0.1990 0.4219
0.6730 0.8010 0.9219
0.8010 0.6730 0.4219
0.9539 0.0461 0.2472
0.0308 0.3205 0.5905
0.1775 0.4711 0.2560
0.2793 0.7207 0.8712
0.3205 0.0308 0.0905
0.4467 0.5533 0.6091
0.4711 0.1775 0.7560
0.5289 0.8225 0.2560
0.5533 0.4467 0.1091
0.6795 0.9692 0.5905
0.7207 0.2793 0.3712
0.8225 0.5289 0.7560
0.9692 0.6795 0.0905
```

AcPr5Sm2: theoretical XRD peak list (copper Kα), based on DFT lattice parameters and positions (PBE).

Peak list (8 most intense, 10 to 90 degrees two-theta, most intense first)
| two_theta | d_spacing | I/Imax |
| --- | --- | --- |
| 29.36 | 3.042 | 100 |
| 34.04 | 2.634 | 51 |
| 58.07 | 1.588 | 44 |
| 48.90 | 1.863 | 37 |
| 79.27 | 1.209 | 18 |
| 81.75 | 1.178 | 17 |
| 60.92 | 1.521 | 13 |
| 71.65 | 1.317 | 6 |

Cell and atoms:
```
AcPr5Sm2
1.0
7.4489 0.0000 0.0000
0.0000 14.9062 0.0000
0.0000 0.0000 5.2671
Ac Pr Sm
2 10 4
direct
0.0000 0.0000 0.0000
0.5000 0.5000 0.0000
0.0000 0.5000 0.0000
0.0018 0.2524 0.0000
0.2467 0.6270 0.5000
0.2533 0.1270 0.5000
0.4982 0.7524 0.0000
0.5000 0.0000 0.0000
0.5018 0.2476 0.0000
0.7467 0.8730 0.5000
0.7533 0.3730 0.5000
0.9982 0.7476 0.0000
0.2495 0.3730 0.5000
0.2505 0.8730 0.5000
0.7495 0.1270 0.5000
0.7505 0.6270 0.5000
```

Ac12Pr5Sm: theoretical XRD peak list (copper Kα), based on DFT lattice parameters and positions (PBE).

Peak list (8 most intense, 10 to 90 degrees two-theta, most intense first)
| two_theta | d_spacing | I/Imax |
| --- | --- | --- |
| 28.01 | 3.185 | 100 |
| 32.33 | 2.769 | 35 |
| 46.65 | 1.947 | 25 |
| 32.70 | 2.738 | 17 |
| 55.03 | 1.669 | 16 |
| 55.08 | 1.667 | 16 |
| 55.54 | 1.655 | 15 |
| 57.90 | 1.593 | 14 |

Cell and atoms:
```
Ac12Pr5Sm
1.0
10.1032 -5.8691 0.0000
10.1032 5.8691 0.0000
-2.1727 0.0000 6.3731
Ac Pr Sm
12 5 1
direct
0.0022 0.3304 0.4999
0.1634 0.8366 0.0000
0.1687 0.4976 0.9992
0.3304 0.0022 0.4999
0.3350 0.6650 0.5000
0.4976 0.1687 0.9992
0.5024 0.8313 0.0008
0.6650 0.3350 0.5000
0.6696 0.9978 0.5001
0.8313 0.5024 0.0008
0.8366 0.1634 0.0000
0.9978 0.6696 0.5001
0.1661 0.1661 0.9988
0.3333 0.3333 0.4993
0.5000 0.5000 0.0000
0.6667 0.6667 0.5007
0.8339 0.8339 0.0012
0.0000 0.0000 0.5000
```

Ac4PrSm6: theoretical XRD peak list (copper Kα), based on DFT lattice parameters and positions (PBE).

Peak list (8 most intense, 10 to 90 degrees two-theta, most intense first)
| two_theta | d_spacing | I/Imax |
| --- | --- | --- |
| 27.82 | 3.207 | 100 |
| 28.06 | 3.180 | 95 |
| 26.89 | 3.316 | 59 |
| 32.95 | 2.718 | 34 |
| 29.83 | 2.995 | 34 |
| 52.35 | 1.748 | 33 |
| 35.02 | 2.562 | 29 |
| 46.65 | 1.947 | 25 |

Cell and atoms:
```
Ac4PrSm6
1.0
-3.6234 3.6234 8.2232
3.6234 -3.6234 8.2232
3.6234 3.6234 -8.2232
Ac Pr Sm
4 1 6
direct
0.1230 0.1230 0.6076
0.4846 0.8770 0.0000
0.5154 0.5154 0.3924
0.8770 0.4846 0.0000
0.5000 0.5000 0.0000
0.0000 0.5000 0.5000
0.0654 0.7360 0.0000
0.2640 0.2640 0.3294
0.5000 0.0000 0.5000
0.7360 0.0654 0.0000
0.9346 0.9346 0.6706
```

Ac14PrSm: theoretical XRD peak list (copper Kα), based on DFT lattice parameters and positions (PBE).

Peak list (8 most intense, 10 to 90 degrees two-theta, most intense first)
| two_theta | d_spacing | I/Imax |
| --- | --- | --- |
| 27.58 | 3.234 | 100 |
| 32.03 | 2.794 | 34 |
| 54.41 | 1.686 | 32 |
| 45.77 | 1.983 | 26 |
| 31.81 | 2.813 | 17 |
| 54.13 | 1.694 | 16 |
| 56.95 | 1.617 | 14 |
| 45.93 | 1.976 | 13 |

Cell and atoms:
```
Ac14PrSm
1.0
11.2521 0.0000 0.0000
0.0000 5.5888 5.5891
0.0000 -5.5888 5.5891
Ac Pr Sm
14 1 1
direct
0.0000 0.9999 0.9999
0.0000 0.0011 0.4987
0.0000 0.4987 0.0011
0.0000 0.5000 0.5000
0.2541 0.7503 0.7503
0.2554 0.2493 0.7504
0.2554 0.7504 0.2493
0.2566 0.2495 0.2495
0.5000 0.5012 0.9984
0.5000 0.9984 0.5012
0.7434 0.2495 0.2495
0.7446 0.2493 0.7504
0.7446 0.7504 0.2493
0.7459 0.7503 0.7503
0.5000 0.4998 0.4998
0.5000 0.9999 0.9999
```

AcPr6Sm2: theoretical XRD peak list (copper Kα), based on DFT lattice parameters and positions (PBE).

Peak list (8 most intense, 10 to 90 degrees two-theta, most intense first)
| two_theta | d_spacing | I/Imax |
| --- | --- | --- |
| 30.42 | 2.939 | 100 |
| 30.07 | 2.972 | 98 |
| 43.30 | 2.090 | 36 |
| 59.50 | 1.554 | 30 |
| 53.81 | 1.704 | 25 |
| 54.01 | 1.698 | 13 |
| 53.89 | 1.701 | 13 |
| 71.60 | 1.318 | 11 |

Cell and atoms:
```
AcPr6Sm2
1.0
5.0820 -8.8289 0.0000
5.0820 8.8289 0.0000
0.0000 0.0000 3.6604
Ac Pr Sm
1 6 2
direct
0.0000 0.0000 0.0000
0.0005 0.3380 0.5000
0.3363 0.3363 0.5000
0.3380 0.0005 0.5000
0.6620 0.9995 0.5000
0.6637 0.6637 0.5000
0.9995 0.6620 0.5000
0.3334 0.6666 0.0000
0.6666 0.3334 0.0000
```